The following is a calculated powder X-ray diffraction pattern of Ba2Fe8Ni3Sb2O22. It was derived from a cell relaxed with GGA+U, using Cu Kα, 1.54184 Å.

Top 6 peaks for 15 to 90 degrees two-theta, sorted by position:
2theta, intensity, (hkl)
29.92, 100, 1 1 0
30.55, 18, 0 0 5
35.24, 46, 1 1 3
53.11, 39, 3 0 0
56.62, 27, 2 0 7
62.16, 31, 2 2 0

Crystal structure
a = 5.9743 Å, b = 5.9743 Å, c = 14.6243 Å
α = 90.00°, β = 90.00°, γ = 120.00°
Space group P-3m1 (No. 164)
One atom of each set of equivalent atoms:
Ba 0.3333 0.6667 0.4278 (multiplicity 2)
Fe 0.1678 0.3356 0.1711 (multiplicity 6)
Fe 0.3333 0.6667 0.9561 (multiplicity 2)
Ni 0.0000 0.0000 0.0000 (multiplicity 1)
Ni 0.0000 0.0000 0.3734 (multiplicity 2)
Sb 0.3333 0.6667 0.6760 (multiplicity 2)
O 0.0000 0.0000 0.2346 (multiplicity 2)
O 0.0030 0.5015 0.2458 (multiplicity 6)
O 0.1587 0.3173 0.9134 (multiplicity 6)
O 0.1807 0.3615 0.5919 (multiplicity 6)
O 0.3333 0.6667 0.0924 (multiplicity 2)